The following is a simulated powder X-ray diffraction pattern of LaTbBe2Pd5. It was derived from a structure optimized by DFT (GGA-PBE), using λ = 1.5418 Å (Cu Kα).
Peak positions follow from Bragg's law for the DFT cell and can differ from measured ones.

Top 12 peaks for 2θ from 15° to 90°, in order of falling intensity:
- 36.72 deg, d = 2.448 Å, I 100, hkl 1 1 2
- 44.20 deg, d = 2.049 Å, I 30, hkl 2 0 0
- 76.39 deg, d = 1.247 Å, I 23, hkl 3 1 2
- 60.69 deg, d = 1.526 Å, I 22, hkl 2 0 4
- 39.40 deg, d = 2.287 Å, I 19, hkl 0 0 4
- 69.70 deg, d = 1.349 Å, I 15, hkl 1 1 6
- 78.09 deg, d = 1.224 Å, I 10, hkl 2 2 4
- 64.29 deg, d = 1.449 Å, I 10, hkl 2 2 0
- 29.26 deg, d = 3.052 Å, I 9, hkl 1 0 2
- 21.69 deg, d = 4.098 Å, I 8, hkl 1 0 0
- 23.79 deg, d = 3.740 Å, I 6, hkl 1 0 1
- 53.90 deg, d = 1.701 Å, I 4, hkl 2 1 2

Crystal structure
```
data_LaTbBe2Pd5
_cell_length_a 4.098
_cell_length_b 4.098
_cell_length_c 9.147
_cell_angle_alpha 90.00
_cell_angle_beta 90.00
_cell_angle_gamma 90.00
_symmetry_space_group_name_H-M 'P 4/m m m'
_symmetry_Int_Tables_number 123
_symmetry_space_group_name_Hall '-P 4 2'
loop_
_atom_site_label
_atom_site_fract_x
_atom_site_fract_y
_atom_site_fract_z
_atom_site_occupancy
La1 0.000 0.000 0.000 1
Tb1 0.000 0.000 0.500 1
Be1 0.500 0.500 0.370 1
Pd1 0.000 0.500 0.250 1
Pd2 0.500 0.500 0.000 1
```

---

The following is a simulated powder X-ray diffraction pattern of Nd4Pb2O. It was derived from a structure optimized by DFT (GGA-PBE), using λ = 1.5418 Å (Cu Kα).
Peak positions follow from Bragg's law for the DFT cell and can differ from measured ones.

Top 12 peaks for 2θ from 15° to 90°, in order of falling intensity:
- 32.68 deg, d = 2.740 Å, I 100, hkl 1 2 -2
- 28.58 deg, d = 3.123 Å, I 93, hkl 2 0 -2
- 29.72 deg, d = 3.006 Å, I 75, hkl 0 0 3
- 29.43 deg, d = 3.035 Å, I 72, hkl 1 2 0
- 32.53 deg, d = 2.752 Å, I 62, hkl 0 2 2
- 35.94 deg, d = 2.499 Å, I 36, hkl 2 1 1
- 28.13 deg, d = 3.172 Å, I 36, hkl 1 0 2
- 48.98 deg, d = 1.860 Å, I 34, hkl 3 2 -2
- 33.46 deg, d = 2.678 Å, I 32, hkl 2 0 1
- 38.79 deg, d = 2.322 Å, I 32, hkl 2 2 0
- 25.66 deg, d = 3.472 Å, I 31, hkl 0 2 0
- 37.41 deg, d = 2.404 Å, I 28, hkl 1 0 -4

Crystal structure
```
data_Nd4Pb2O
_cell_length_a 6.657
_cell_length_b 6.944
_cell_length_c 9.616
_cell_angle_alpha 90.00
_cell_angle_beta 110.27
_cell_angle_gamma 90.00
_symmetry_space_group_name_H-M 'P 1 21/m 1'
_symmetry_Int_Tables_number 11
loop_
_symmetry_equiv_pos_as_xyz
'x,y,z'
'-x,-y,-z'
'-x,y+1/2,-z'
'x,-y+1/2,z'
loop_
_atom_site_label
_atom_site_fract_x
_atom_site_fract_y
_atom_site_fract_z
_atom_site_occupancy
Nd1 0.035 0.003 0.297 1
Nd2 0.347 0.250 0.044 1
Nd3 0.435 0.250 0.662 1
Pb1 0.193 0.750 0.026 1
Pb2 0.348 0.750 0.601 1
O1 0.196 0.250 0.788 1
```

---

The following is a simulated powder X-ray diffraction pattern of LiUTeN2. It was derived from a structure optimized by DFT (GGA-PBE), using λ = 1.5418 Å (Cu Kα).
Peak positions follow from Bragg's law for the DFT cell and can differ from measured ones.

Top 12 peaks for 2θ from 15° to 90°, in order of falling intensity:
- 32.99 deg, d = 2.715 Å, I 100, hkl 1 0 3
- 23.96 deg, d = 3.714 Å, I 81, hkl 1 0 1
- 32.17 deg, d = 2.782 Å, I 48, hkl 1 1 0
- 57.88 deg, d = 1.593 Å, I 41, hkl 2 1 3
- 15.75 deg, d = 5.627 Å, I 34, hkl 0 0 2
- 46.14 deg, d = 1.967 Å, I 24, hkl 2 0 0
- 45.87 deg, d = 1.978 Å, I 21, hkl 1 1 4
- 52.65 deg, d = 1.738 Å, I 20, hkl 2 1 1
- 59.43 deg, d = 1.555 Å, I 18, hkl 1 1 6
- 31.81 deg, d = 2.813 Å, I 18, hkl 0 0 4
- 36.01 deg, d = 2.494 Å, I 15, hkl 1 1 2
- 57.13 deg, d = 1.612 Å, I 13, hkl 2 0 4

Crystal structure
```
data_LiUTeN2
_cell_length_a 3.935
_cell_length_b 3.935
_cell_length_c 11.253
_cell_angle_alpha 90.00
_cell_angle_beta 90.00
_cell_angle_gamma 90.00
_symmetry_space_group_name_H-M 'I 4 m m'
_symmetry_Int_Tables_number 107
_symmetry_space_group_name_Hall 'I 4 -2'
loop_
_atom_site_label
_atom_site_fract_x
_atom_site_fract_y
_atom_site_fract_z
_atom_site_occupancy
Li1 0.000 0.000 0.000 1
U1 0.000 0.000 0.371 1
Te1 0.000 0.000 0.680 1
N1 0.000 0.500 0.429 1
```

---

What did the third record say?
The following is a simulated powder X-ray diffraction pattern of LiUTeN2. It was derived from a structure optimized by DFT (GGA-PBE), using λ = 1.5418 Å (Cu Kα).
Peak positions follow from Bragg's law for the DFT cell and can differ from measured ones.

Top 12 peaks for 2θ from 15° to 90°, in order of falling intensity:
- 32.99 deg, d = 2.715 Å, I 100, hkl 1 0 3
- 23.96 deg, d = 3.714 Å, I 81, hkl 1 0 1
- 32.17 deg, d = 2.782 Å, I 48, hkl 1 1 0
- 57.88 deg, d = 1.593 Å, I 41, hkl 2 1 3
- 15.75 deg, d = 5.627 Å, I 34, hkl 0 0 2
- 46.14 deg, d = 1.967 Å, I 24, hkl 2 0 0
- 45.87 deg, d = 1.978 Å, I 21, hkl 1 1 4
- 52.65 deg, d = 1.738 Å, I 20, hkl 2 1 1
- 59.43 deg, d = 1.555 Å, I 18, hkl 1 1 6
- 31.81 deg, d = 2.813 Å, I 18, hkl 0 0 4
- 36.01 deg, d = 2.494 Å, I 15, hkl 1 1 2
- 57.13 deg, d = 1.612 Å, I 13, hkl 2 0 4

Crystal structure
```
data_LiUTeN2
_cell_length_a 3.935
_cell_length_b 3.935
_cell_length_c 11.253
_cell_angle_alpha 90.00
_cell_angle_beta 90.00
_cell_angle_gamma 90.00
_symmetry_space_group_name_H-M 'I 4 m m'
_symmetry_Int_Tables_number 107
_symmetry_space_group_name_Hall 'I 4 -2'
loop_
_atom_site_label
_atom_site_fract_x
_atom_site_fract_y
_atom_site_fract_z
_atom_site_occupancy
Li1 0.000 0.000 0.000 1
U1 0.000 0.000 0.371 1
Te1 0.000 0.000 0.680 1
N1 0.000 0.500 0.429 1
```